Simulated powder diffractogram of BaNd2CuO5 for Cu Kα X-rays, from a crystal structure in the Materials Project, relaxed with GGA-PBE.
Lines closer than 0.1° are merged.

Crystal structure
```
18
Lattice="6.766 0.000 0.000 0.000 6.766 0.000 0.000 0.000 5.884" Properties=species:S:1:pos:R:3 pbc="T T T"
Ba 0.000 0.000 0.000
Ba 3.383 3.383 0.000
Nd 1.172 2.211 2.942
Nd 2.211 5.594 2.942
Nd 4.555 1.172 2.942
Nd 5.594 4.555 2.942
Cu 0.000 3.383 0.000
Cu 3.383 0.000 0.000
O 0.000 0.000 2.942
O 0.940 4.323 1.432
O 0.940 4.323 4.452
O 2.443 0.940 1.432
O 2.443 0.940 4.452
O 3.383 3.383 2.942
O 4.323 5.826 1.432
O 4.323 5.826 4.452
O 5.826 2.443 1.432
O 5.826 2.443 4.452
```

The 12 most intense peaks (2θ from 10° to 90°), low angle first:
| d_spacing | 2θ/deg | Rel. int. |
| --- | --- | --- |
| 3.712 | 23.97 | 11.9 |
| 3.026 | 29.52 | 15.9 |
| 2.935 | 30.45 | 100.0 |
| 2.691 | 33.30 | 42.1 |
| 2.392 | 37.60 | 16.4 |
| 2.140 | 42.24 | 14.6 |
| 2.109 | 42.88 | 30.7 |
| 1.856 | 49.09 | 14.6 |
| 1.697 | 54.05 | 14.4 |
| 1.646 | 55.87 | 9.0 |
| 1.581 | 58.38 | 10.7 |
| 1.539 | 60.11 | 9.5 |



Simulated powder diffractogram of EuAg2Ge2 for Cu Kα X-rays, from a crystal structure in the Materials Project, relaxed with GGA-PBE.
Lines closer than 0.1° are merged.

Crystal structure
```
5
Lattice="-2.205 2.205 5.505 2.205 -2.205 5.505 2.205 2.205 -5.505" Properties=species:S:1:pos:R:3 pbc="T T T"
Eu 0.000 0.000 0.000
Ag 2.205 0.000 2.752
Ag 0.000 2.205 2.752
Ge 0.000 0.000 4.276
Ge 0.000 0.000 6.734
```

The 12 most intense peaks (2θ from 10° to 90°), low angle first:
| d_spacing | 2θ/deg | Rel. int. |
| --- | --- | --- |
| 2.821 | 31.72 | 35.9 |
| 2.752 | 32.53 | 8.9 |
| 2.713 | 33.01 | 100.0 |
| 2.205 | 40.93 | 47.2 |
| 2.064 | 43.87 | 12.5 |
| 1.970 | 46.07 | 20.8 |
| 1.737 | 52.69 | 17.0 |
| 1.581 | 58.35 | 10.6 |
| 1.559 | 59.27 | 15.4 |
| 1.469 | 63.30 | 15.9 |
| 1.352 | 69.54 | 21.9 |
| 1.167 | 82.65 | 10.4 |



Simulated powder diffractogram of Tb4Si3Ge for Cu Kα X-rays, from a crystal structure in the Materials Project, relaxed with GGA-PBE.
Lines closer than 0.1° are merged.

Crystal structure
```
8
Lattice="3.887 0.000 0.000 0.000 4.315 0.000 0.000 0.000 10.626" Properties=species:S:1:pos:R:3 pbc="T T T"
Tb 0.000 0.000 0.000
Tb 0.000 2.157 5.276
Tb 1.943 0.000 7.632
Tb 1.943 2.157 2.335
Si 0.000 0.000 3.013
Si 1.943 0.000 4.619
Si 1.943 2.157 9.982
Ge 0.000 2.157 8.282
```

The 12 most intense peaks (2θ from 10° to 90°), low angle first:
| d_spacing | 2θ/deg | Rel. int. |
| --- | --- | --- |
| 3.998 | 22.24 | 26.0 |
| 3.137 | 28.45 | 50.5 |
| 2.787 | 32.12 | 100.0 |
| 2.738 | 32.71 | 48.5 |
| 2.657 | 33.74 | 29.4 |
| 2.238 | 40.29 | 37.1 |
| 2.157 | 41.88 | 23.9 |
| 1.943 | 46.74 | 17.4 |
| 1.778 | 51.41 | 20.2 |
| 1.712 | 53.54 | 18.6 |
| 1.675 | 54.82 | 14.7 |
| 1.585 | 58.22 | 18.7 |



Simulated powder diffractogram of SmCd for Cu Kα X-rays, from a crystal structure in the Materials Project, relaxed with GGA-PBE.
Lines closer than 0.1° are merged.

Crystal structure
```
2
Lattice="3.821 0.000 0.000 0.000 3.821 0.000 0.000 0.000 3.821" Properties=species:S:1:pos:R:3 pbc="T T T"
Sm 0.000 0.000 0.000
Cd 1.910 1.910 1.910
```

The 10 most intense peaks (2θ from 10° to 90°), low angle first:
| d_spacing | 2θ/deg | Rel. int. |
| --- | --- | --- |
| 3.821 | 23.28 | 2.0 |
| 2.702 | 33.16 | 100.0 |
| 2.206 | 40.91 | 0.7 |
| 1.910 | 47.60 | 18.0 |
| 1.709 | 53.64 | 1.0 |
| 1.560 | 59.24 | 36.8 |
| 1.351 | 69.60 | 11.3 |
| 1.274 | 74.51 | 0.5 |
| 1.208 | 79.30 | 15.7 |
| 1.103 | 88.69 | 4.1 |



Simulated powder diffractogram of RbTaCu2Se4 for Cu Kα X-rays, from a crystal structure in the Materials Project, relaxed with GGA-PBE.
Lines closer than 0.1° are merged.

Crystal structure
```
16
Lattice="7.863 0.000 0.000 0.000 9.841 2.875 0.000 -9.841 2.875" Properties=species:S:1:pos:R:3 pbc="T T T"
Rb 1.966 -6.223 2.875
Rb 5.897 6.223 2.875
Ta 1.966 -2.087 1.396
Ta 5.897 2.087 1.396
Cu 0.000 0.000 1.479
Cu 1.966 -2.052 4.268
Cu 3.932 0.000 1.479
Cu 5.897 2.052 4.268
Se 0.022 2.062 2.814
Se 1.966 5.800 2.840
Se 1.966 9.781 2.860
Se 3.910 2.062 2.814
Se 3.953 -2.062 2.814
Se 5.897 -9.781 2.860
Se 5.897 -5.800 2.840
Se 7.841 -2.062 2.814
```

The 12 most intense peaks (2θ from 10° to 90°), low angle first:
| d_spacing | 2θ/deg | Rel. int. |
| --- | --- | --- |
| 6.143 | 14.42 | 100.0 |
| 5.520 | 16.06 | 42.4 |
| 4.921 | 18.03 | 21.0 |
| 3.932 | 22.62 | 26.1 |
| 3.248 | 27.46 | 69.9 |
| 3.202 | 27.86 | 65.3 |
| 2.909 | 30.73 | 19.2 |
| 2.604 | 34.44 | 34.9 |
| 2.099 | 43.10 | 76.8 |
| 1.967 | 46.15 | 52.5 |
| 1.895 | 48.02 | 49.3 |
| 1.682 | 54.56 | 20.5 |



Simulated powder diffractogram of NbSI for Cu Kα X-rays, from a crystal structure in the Materials Project, relaxed with GGA-PBE.
Lines closer than 0.1° are merged.

Crystal structure
```
12
Lattice="0.000 5.419 5.419 5.419 0.000 5.419 5.419 5.419 0.000" Properties=species:S:1:pos:R:3 pbc="T T T"
Nb 4.366 4.366 4.366
Nb 6.472 6.472 4.366
Nb 6.472 4.366 6.472
Nb 4.366 6.472 6.472
S 6.764 4.074 4.074
S 4.074 6.764 4.074
S 4.074 4.074 6.764
S 6.764 6.764 6.764
I 1.368 1.368 1.368
I 4.051 4.051 1.368
I 4.051 1.368 4.051
I 1.368 4.051 4.051
```

The 12 most intense peaks (2θ from 10° to 90°), low angle first:
| d_spacing | 2θ/deg | Rel. int. |
| --- | --- | --- |
| 6.257 | 14.15 | 61.1 |
| 3.268 | 27.29 | 51.0 |
| 3.129 | 28.53 | 23.3 |
| 2.710 | 33.06 | 100.0 |
| 2.486 | 36.12 | 44.2 |
| 2.212 | 40.79 | 13.9 |
| 2.086 | 43.38 | 24.5 |
| 1.916 | 47.45 | 60.0 |
| 1.634 | 56.31 | 20.8 |
| 1.564 | 59.05 | 18.3 |
| 1.411 | 66.24 | 17.0 |
| 1.212 | 79.02 | 16.8 |